Computed powder diffractogram
Compound: Pa2CoPdS5
Radiation: Cu Kα
Structure: a cell relaxed with GGA-PBE
Kinematic intensities with the Lorentz-polarization factor, no thermal factor.

The 8 most intense peaks (10 to 80 degrees two-theta), in order of falling intensity:
h k l  two_theta  I (rel.)
1 1 3  34.58  100
0 2 3  26.60  86
0 4 0  22.31  82
1 1 0  24.43  51
1 3 3  38.20  48
0 6 3  41.89  42
1 5 0  37.04  40
1 3 0  29.19  37

Cell and atoms:
```
data_Pa2CoPdS5
_chemical_formula_sum 'Pa8 Co4 Pd4 S20'
_space_group_name_H-M_alt 'C m c 21'
_space_group_IT_number 36
_space_group_name_Hall 'C 2c -2'
_cell_length_a 3.743
_cell_length_b 15.938
_cell_length_c 11.080
_cell_angle_alpha 90.00
_cell_angle_beta 90.00
_cell_angle_gamma 90.00
loop_
_atom_site_label
_atom_site_type_symbol
_atom_site_fract_x
_atom_site_fract_y
_atom_site_fract_z
Pa1 Pa 0.000 0.116 0.000
Pa2 Pa 0.000 0.122 0.357
Co1 Co 0.000 0.439 0.090
Pd1 Pd 0.000 0.146 0.728
S1 S 0.000 0.003 0.672
S2 S 0.000 0.302 0.348
S3 S 0.000 0.311 0.008
S4 S 0.000 0.335 0.675
S5 S 0.000 0.499 0.413
```



Computed powder diffractogram
Compound: Pm2PaCo3
Radiation: Cu Kα
Structure: a cell relaxed with GGA-PBE
Kinematic intensities with the Lorentz-polarization factor, no thermal factor.

The 8 most intense peaks (10 to 80 degrees two-theta), in order of falling intensity:
h k l  two_theta  I (rel.)
2 0 1  28.73  100
1 1 5  35.34  86
1 1 4  32.65  70
0 1 5  32.24  64
2 0 5  36.25  63
0 2 0  47.50  46
2 1 4  41.27  41
2 0 7  42.58  38

Cell and atoms:
```
data_Pm2PaCo3
_chemical_formula_sum 'Pm8 Pa4 Co12'
_space_group_name_H-M_alt 'P n m a'
_space_group_IT_number 62
_space_group_name_Hall '-P 2ac 2n'
_cell_length_a 6.282
_cell_length_b 3.828
_cell_length_c 20.169
_cell_angle_alpha 90.00
_cell_angle_beta 90.00
_cell_angle_gamma 90.00
loop_
_atom_site_label
_atom_site_type_symbol
_atom_site_fract_x
_atom_site_fract_y
_atom_site_fract_z
Pm1 Pm 0.121 0.250 0.073
Pm2 Pm 0.124 0.250 0.263
Pa1 Pa 0.121 0.750 0.405
Co1 Co 0.088 0.250 0.834
Co2 Co 0.137 0.250 0.488
Co3 Co 0.170 0.250 0.667
```



Computed powder diffractogram
Compound: Pm5PaCo4
Radiation: Cu Kα
Structure: a cell relaxed with GGA-PBE
Kinematic intensities with the Lorentz-polarization factor, no thermal factor.

The 8 most intense peaks (10 to 80 degrees two-theta), in order of falling intensity:
h k l  two_theta  I (rel.)
3 1 -2  33.52  100
3 1 0  27.01  90
6 0 0  33.31  61
3 1 2  42.89  56
6 2 0  55.73  43
2 0 -1  13.68  37
0 2 0  43.28  35
0 0 2  26.84  35

Cell and atoms:
```
data_Pm5PaCo4
_chemical_formula_sum 'Pm10 Pa2 Co8'
_space_group_name_H-M_alt 'C 1 2/m 1'
_space_group_IT_number 12
_space_group_name_Hall '-C 2y'
_cell_length_a 17.444
_cell_length_b 4.181
_cell_length_c 7.180
_cell_angle_alpha 90.00
_cell_angle_beta 112.31
_cell_angle_gamma 90.00
loop_
_atom_site_label
_atom_site_type_symbol
_atom_site_fract_x
_atom_site_fract_y
_atom_site_fract_z
Pm1 Pm 0.000 0.000 0.000
Pm2 Pm 0.161 0.500 0.544
Pm3 Pm 0.177 0.500 0.056
Pa1 Pa 0.000 0.000 0.500
Co1 Co 0.017 0.500 0.710
Co2 Co 0.136 0.000 0.782
```



Computed powder diffractogram
Compound: PmPaCoS4
Radiation: Cu Kα
Structure: a cell relaxed with GGA-PBE
Kinematic intensities with the Lorentz-polarization factor, no thermal factor.

The 8 most intense peaks (10 to 80 degrees two-theta), in order of falling intensity:
h k l  two_theta  I (rel.)
1 1 0  21.27  100
0 2 0  31.27  72
1 1 2  35.08  48
2 2 0  43.32  44
3 1 0  47.33  41
2 1 -2  36.04  41
0 1 2  28.51  37
1 1 -2  28.90  36

Cell and atoms:
```
data_PmPaCoS4
_chemical_formula_sum 'Pm2 Pa2 Co2 S8'
_space_group_name_H-M_alt 'P 1 21/m 1'
_space_group_IT_number 11
_space_group_name_Hall '-P 2yb'
_cell_length_a 6.358
_cell_length_b 5.721
_cell_length_c 7.780
_cell_angle_alpha 90.00
_cell_angle_beta 105.94
_cell_angle_gamma 90.00
loop_
_atom_site_label
_atom_site_type_symbol
_atom_site_fract_x
_atom_site_fract_y
_atom_site_fract_z
Pm1 Pm 0.238 0.250 0.437
Pa1 Pa 0.251 0.250 0.943
Co1 Co 0.262 0.750 0.164
S1 S 0.073 0.750 0.370
S2 S 0.074 0.750 0.892
S3 S 0.484 0.508 0.751
```



Computed powder diffractogram
Compound: PmPaCo2Si2
Radiation: Cu Kα
Structure: a cell relaxed with GGA-PBE
Kinematic intensities with the Lorentz-polarization factor, no thermal factor.

The 8 most intense peaks (10 to 80 degrees two-theta), in order of falling intensity:
h k l  two_theta  I (rel.)
1 0 2  34.25  100
1 0 0  26.09  37
1 1 0  46.04  32
0 2 2  58.62  21
2 1 2  77.59  19
1 1 4  65.91  18
0 1 4  52.27  15
0 0 1  10.85  13

Cell and atoms:
```
data_PmPaCo2Si2
_chemical_formula_sum 'Pm1 Pa1 Co2 Si2'
_space_group_name_H-M_alt 'P -3 m 1'
_space_group_IT_number 164
_space_group_name_Hall '-P 3 2"'
_cell_length_a 3.9431
_cell_length_b 3.9431
_cell_length_c 8.1534
_cell_angle_alpha 90.00
_cell_angle_beta 90.00
_cell_angle_gamma 120.00
loop_
_atom_site_label
_atom_site_type_symbol
_atom_site_fract_x
_atom_site_fract_y
_atom_site_fract_z
Pm1 Pm 0.0000 0.0000 0.0000
Pa1 Pa 0.0000 0.0000 0.5000
Co1 Co 0.3333 0.6667 0.2890
Si1 Si 0.3333 0.6667 0.7514
```



Computed powder diffractogram
Compound: PaCoPt
Radiation: Cu Kα
Structure: a cell relaxed with GGA-PBE
Kinematic intensities with the Lorentz-polarization factor, no thermal factor.

The 8 most intense peaks (10 to 80 degrees two-theta), in order of falling intensity:
h k l  two_theta  I (rel.)
1 1 1  34.70  100
2 0 0  37.50  78
1 0 3  44.93  36
2 1 2  54.08  27
1 2 3  71.91  18
1 0 2  32.71  18
3 1 1  65.93  16
2 2 0  66.71  15

Cell and atoms:
```
data_PaCoPt
_chemical_formula_sum 'Pa2 Co2 Pt2'
_space_group_name_H-M_alt 'P m m a'
_space_group_IT_number 51
_space_group_name_Hall '-P 2a 2a'
_cell_length_a 4.791
_cell_length_b 3.458
_cell_length_c 6.673
_cell_angle_alpha 90.00
_cell_angle_beta 90.00
_cell_angle_gamma 90.00
loop_
_atom_site_label
_atom_site_type_symbol
_atom_site_fract_x
_atom_site_fract_y
_atom_site_fract_z
Pa1 Pa 0.250 0.000 0.243
Co1 Co 0.250 0.500 0.986
Pt1 Pt 0.250 0.500 0.603
```



Computed powder diffractogram
Compound: RbPaCo2S4
Radiation: Cu Kα
Structure: a cell relaxed with GGA-PBE
Kinematic intensities with the Lorentz-polarization factor, no thermal factor.

The 8 most intense peaks (10 to 80 degrees two-theta), in order of falling intensity:
h k l  two_theta  I (rel.)
0 1 1  14.84  100
1 1 2  27.05  72
2 2 0  36.72  42
0 2 0  22.13  39
0 2 2  29.93  38
1 1 4  44.65  38
1 1 0  18.12  33
2 0 2  35.37  29

Cell and atoms:
```
data_RbPaCo2S4
_chemical_formula_sum 'Rb2 Pa2 Co4 S8'
_space_group_name_H-M_alt 'I 2 2 2'
_space_group_IT_number 23
_space_group_name_Hall 'I 2 2'
_cell_length_a 6.173
_cell_length_b 8.034
_cell_length_c 8.921
_cell_angle_alpha 90.00
_cell_angle_beta 90.00
_cell_angle_gamma 90.00
loop_
_atom_site_label
_atom_site_type_symbol
_atom_site_fract_x
_atom_site_fract_y
_atom_site_fract_z
Rb1 Rb 0.000 0.000 0.000
Pa1 Pa 0.000 0.000 0.500
Co1 Co 0.000 0.500 0.120
S1 S 0.241 0.171 0.321
```



Computed powder diffractogram
Compound: PaCoRe2Si2
Radiation: Cu Kα
Structure: a cell relaxed with GGA-PBE
Kinematic intensities with the Lorentz-polarization factor, no thermal factor.

The 8 most intense peaks (10 to 80 degrees two-theta), in order of falling intensity:
h k l  two_theta  I (rel.)
2 0 0  40.73  100
1 1 0  28.47  68
2 2 0  58.95  55
1 1 1  33.54  16
0 0 4  74.14  14
3 1 0  66.72  13
1 0 1  26.62  8
0 0 1  17.35  5

Cell and atoms:
```
data_PaCoRe2Si2
_chemical_formula_sum 'Pa1 Co1 Re2 Si2'
_space_group_name_H-M_alt 'P 4/m m m'
_space_group_IT_number 123
_space_group_name_Hall '-P 4 2'
_cell_length_a 4.433
_cell_length_b 4.433
_cell_length_c 5.112
_cell_angle_alpha 90.00
_cell_angle_beta 90.00
_cell_angle_gamma 90.00
loop_
_atom_site_label
_atom_site_type_symbol
_atom_site_fract_x
_atom_site_fract_y
_atom_site_fract_z
Pa1 Pa 0.000 0.000 0.000
Co1 Co 0.000 0.000 0.500
Re1 Re 0.500 0.500 0.236
Si1 Si 0.000 0.500 0.500
```